# Ac2In9Ni3
Computed PXRD pattern, Cu Ka. Input: a cell relaxed with PBE.

Peak list (6 most intense, 2θ = 10–90°, by angle)
32.95 deg, I 54
33.03 deg, I 100
33.50 deg, I 24
37.18 deg, I 32
37.29 deg, I 64
64.58 deg, I 27

Structure:
```
Ac2In9Ni3
1.0
7.2554 -4.1725 0.0000
7.2554 4.1725 0.0000
-4.8637 0.0000 10.7014
Ac In Ni
4 18 6
direct
0.0853 0.2517 0.2509
0.2517 0.0853 0.7509
0.7483 0.9147 0.2491
0.9147 0.7483 0.7491
0.0180 0.8603 0.0687
0.1397 0.9820 0.4313
0.1875 0.3566 0.5692
0.2046 0.5820 0.2524
0.3120 0.4844 0.9497
0.3566 0.1875 0.0692
0.3672 0.6328 0.7500
0.4180 0.7954 0.2476
0.4844 0.3120 0.4497
0.5156 0.6880 0.5503
0.5820 0.2046 0.7524
0.6328 0.3672 0.2500
0.6434 0.8125 0.9308
0.6880 0.5156 0.0503
0.7954 0.4180 0.7476
0.8125 0.6434 0.4308
0.8603 0.0180 0.5687
0.9820 0.1397 0.9313
0.0000 0.5000 0.0000
0.1668 0.6675 0.4992
0.3325 0.8332 0.0008
0.5000 0.0000 0.5000
0.6675 0.1668 0.9992
0.8332 0.3325 0.5008
```